# Mn2AsO5
Computed X-ray diffraction stick pattern, Cu Kα, 1.54184 Å. Input: a crystal structure in Alexandria, relaxed with GGA+U.
No peak broadening, texture or thermal motion is included.

Atomic structure:
```
Mn2AsO5
1.0
8.639 0.000 0.000
0.000 8.813 0.000
0.000 0.000 6.139
Mn As O
8 4 20
Direct
0.000 0.000 0.240
0.000 0.000 0.760
0.148 0.374 0.500
0.352 0.874 0.000
0.500 0.500 0.260
0.500 0.500 0.740
0.648 0.126 0.000
0.852 0.626 0.500
0.237 0.745 0.500
0.263 0.245 0.000
0.737 0.755 0.000
0.763 0.255 0.500
0.095 0.608 0.500
0.129 0.930 0.000
0.132 0.917 0.500
0.151 0.231 0.229
0.151 0.231 0.771
0.349 0.731 0.271
0.349 0.731 0.729
0.368 0.417 0.000
0.371 0.430 0.500
0.405 0.108 0.000
0.595 0.892 0.000
0.629 0.570 0.500
0.632 0.583 0.000
0.651 0.269 0.271
0.651 0.269 0.729
0.849 0.769 0.229
0.849 0.769 0.771
0.868 0.083 0.500
0.871 0.070 0.000
0.905 0.392 0.500
```

Most intense lines, 15° ≤ 2θ ≤ 90°, by intensity:
2θ 28.9, I = 100
2θ 35.9, I = 80
2θ 20.4, I = 72
2θ 17.6, I = 63
2θ 35.4, I = 59
2θ 56.1, I = 49
2θ 32.6, I = 49
2θ 17.7, I = 39
2θ 32.2, I = 25
2θ 29.1, I = 22